Record 1
This entry pairs a crystal structure of Cd2Ag3Au with its theoretical powder diffraction line list. Radiation: Cu Kα (weighted mean of Kα1 and Kα2). Structure: a crystal structure in Alexandria, relaxed with GGA-PBE.
Kinematic intensities with the Lorentz-polarization factor, no thermal factor.

Most intense lines, 2θ = 10–80°, most intense first:
(hkl), 2θ/deg, intensity
2 2 4, 38.82, 100.0
1 1 2, 19.13, 47.0
3 1 2, 38.37, 32.7
2 1 5, 36.34, 31.8
3 0 1, 35.38, 26.4
0 0 8, 40.58, 23.7
4 0 0, 47.28, 21.6
3 1 6, 48.42, 17.7
1 0 3, 18.90, 13.2
3 0 9, 59.02, 12.9

Atomic structure:
a b c (Å): 7.690 7.690 17.785
angles (deg): 90.00 90.00 90.00
Space group I4_1/amd (No. 141, origin choice 2)
One atom of each set of equivalent atoms:
1 Cd 0.000 0.035 0.235 x16
2 Ag 0.000 0.000 0.000 x8
3 Ag 0.196 0.054 0.375 x16
4 Au 0.000 0.250 0.110 x8

=====

Record 2
This entry pairs a crystal structure of Cd6Ag5Au with its theoretical powder diffraction line list. Radiation: Cu Kα (weighted mean of Kα1 and Kα2). Structure: a crystal structure in Alexandria, relaxed with GGA-PBE.
Kinematic intensities with the Lorentz-polarization factor, no thermal factor.

Most intense lines, 2θ = 10–80°, most intense first:
(hkl), 2θ/deg, intensity
1 3 -2, 37.32, 100.0
1 3 2, 37.62, 97.7
2 0 0, 37.83, 96.2
2 6 0, 54.57, 31.9
2 0 4, 67.78, 24.4
0 0 4, 53.49, 17.0
0 6 4, 67.36, 16.5
1 9 -2, 67.97, 16.0
3 3 2, 68.39, 16.0
1 9 2, 68.17, 15.9

Atomic structure:
a b c (Å): 4.756 14.271 6.853
angles (deg): 90.00 90.64 90.00
Space group C2/m (No. 12)
One atom of each set of equivalent atoms:
1 Cd 0.000 0.166 0.249 x8
2 Cd 0.001 0.500 0.747 x4
3 Ag 0.000 0.000 0.000 x2
4 Ag 0.000 0.330 0.500 x4
5 Ag 0.000 0.334 0.000 x4
6 Au 0.000 0.000 0.500 x2

=====

Record 3
This entry pairs a crystal structure of Cd3Ag4Au with its theoretical powder diffraction line list. Radiation: Cu Kα (weighted mean of Kα1 and Kα2). Structure: a crystal structure in Alexandria, relaxed with GGA-PBE.
Kinematic intensities with the Lorentz-polarization factor, no thermal factor.

Most intense lines, 2θ = 10–80°, most intense first:
(hkl), 2θ/deg, intensity
2 2 1, 39.43, 100.0
4 0 0, 36.77, 50.6
2 0 2, 39.26, 48.7
1 2 1, 35.93, 33.4
4 2 3, 74.26, 24.2
0 2 3, 61.95, 20.8
6 2 1, 68.01, 19.1
3 2 1, 44.74, 17.7
1 0 2, 35.75, 17.6
2 4 2, 76.18, 13.3

Atomic structure:
a b c (Å): 9.777 5.960 5.198
angles (deg): 90.00 90.00 90.00
Space group Pmma (No. 51)
One atom of each set of equivalent atoms:
1 Cd 0.000 0.000 0.000 x2
2 Cd 0.250 0.000 0.345 x2
3 Cd 0.250 0.500 0.331 x2
4 Ag 0.000 0.252 0.500 x4
5 Ag 0.250 0.252 0.832 x4
6 Au 0.000 0.500 0.000 x2